# 1
Ba2MgCrMoO6: calculated powder X-ray diffraction pattern (Cu Kα X-rays), based on a crystal structure in the Materials Project, relaxed with PBE+U.

Crystal structure
```
Ba2MgCrMoO6
1.0
-2.896 2.945 4.634
2.896 -2.945 4.634
2.896 2.945 -4.634
Ba Mg Cr Mo O
2 1 1 1 6
Cartesian
0.000 0.000 1.812 Ba
0.000 0.000 7.456 Ba
0.000 0.000 4.634 Mg
0.000 2.945 0.000 Cr
2.896 0.000 0.000 Mo
2.896 0.000 2.331 O
1.463 1.583 0.000 O
1.433 -1.362 4.634 O
1.463 4.307 0.000 O
1.433 1.362 4.634 O
0.000 2.945 2.303 O
```

Peak list (8 most intense, 2θ = 10–90°, sorted by position)
28.96°, 3.083 Å, I = 100
30.35°, 2.945 Å, I = 42
30.88°, 2.896 Å, I = 40
32.73°, 2.736 Å, I = 19
32.86°, 2.726 Å, I = 36
43.85°, 2.065 Å, I = 51
45.33°, 2.000 Å, I = 29
53.07°, 1.726 Å, I = 18

# 2
Sr2Mn2O5: calculated powder X-ray diffraction pattern (Cu Kα X-rays), based on a crystal structure in the Materials Project, relaxed with PBE+U.

Crystal structure
```
Sr2Mn2O5
1.0
5.452 0.000 0.000
-0.003 5.453 0.000
-2.723 -2.724 8.430
Sr Mn O
4 4 10
Cartesian
0.000 0.000 0.000 Sr
-0.065 0.002 3.732 Sr
2.657 2.720 0.001 Sr
2.726 2.719 3.731 Sr
-0.033 2.729 1.863 Mn
0.305 2.949 6.085 Mn
2.695 0.001 1.863 Mn
2.355 0.220 6.081 Mn
-0.125 2.686 4.254 O
1.325 4.098 1.896 O
1.338 1.371 1.895 O
0.499 -0.580 6.082 O
-0.083 2.705 7.926 O
2.747 -0.017 4.242 O
2.152 2.141 6.083 O
4.055 1.368 1.836 O
4.059 4.096 1.828 O
2.794 -0.049 7.910 O
```

Peak list (8 most intense, 2θ = 10–90°, sorted by position)
31.45°, 2.845 Å, I = 100
32.85°, 2.726 Å, I = 66
39.36°, 2.289 Å, I = 15
39.69°, 2.271 Å, I = 16
42.91°, 2.108 Å, I = 19
47.15°, 1.928 Å, I = 32
55.08°, 1.667 Å, I = 19
57.77°, 1.596 Å, I = 34

# 3
Li7Co5O12: calculated powder X-ray diffraction pattern (Cu Kα X-rays), based on a crystal structure in the Materials Project, relaxed with PBE+U.

Crystal structure
```
Li7Co5O12
1.0
3.003 0.000 0.000
0.071 5.041 0.000
0.302 0.783 14.244
Li Co O
7 5 12
Cartesian
0.000 0.000 0.000 Li
0.151 0.391 7.122 Li
0.162 3.630 4.740 Li
1.608 4.325 2.372 Li
1.688 2.912 7.122 Li
1.768 1.498 11.873 Li
3.214 2.194 9.505 Li
0.315 4.040 11.849 Co
1.614 1.089 4.853 Co
1.537 2.521 0.000 Co
1.762 4.735 9.392 Co
3.061 1.784 2.396 Co
0.327 2.506 13.027 O
0.248 1.956 5.845 O
0.419 5.526 10.673 O
1.577 2.544 3.589 O
1.530 0.998 1.174 O
1.686 1.142 8.447 O
1.690 4.681 5.797 O
1.846 4.825 13.070 O
1.799 3.279 10.655 O
2.957 0.298 3.571 O
3.129 3.868 8.399 O
3.049 3.318 1.217 O
```

Peak list (8 most intense, 2θ = 10–90°, sorted by position)
18.37°, 4.830 Å, I = 100
35.04°, 2.561 Å, I = 18
35.71°, 2.514 Å, I = 16
37.11°, 2.423 Å, I = 10
42.16°, 2.144 Å, I = 33
43.27°, 2.091 Å, I = 30
45.25°, 2.004 Å, I = 24
63.95°, 1.456 Å, I = 15

# 4
NdTi3FeCu3O12: calculated powder X-ray diffraction pattern (Cu Kα X-rays), based on a crystal structure in the Materials Project, relaxed with PBE+U.

Crystal structure
```
NdTi3FeCu3O12
1.0
5.300 3.060 2.161
-5.300 3.060 2.161
0.000 -6.120 2.161
Nd Ti Fe Cu O
1 3 1 3 12
Cartesian
0.000 0.000 0.000 Nd
-5.300 0.000 3.241 Ti
-2.650 1.530 1.080 Ti
2.650 1.530 1.080 Ti
0.000 0.000 3.241 Fe
-2.650 -1.530 2.161 Cu
-2.650 1.530 4.322 Cu
0.000 3.060 2.161 Cu
-3.712 1.066 2.703 O
-0.674 -1.492 2.032 O
-2.779 -2.682 3.779 O
-0.955 1.329 2.032 O
0.933 -3.748 2.703 O
1.629 0.162 2.032 O
-1.629 -0.162 4.451 O
-0.933 3.748 3.779 O
0.955 -1.329 4.451 O
2.779 2.682 2.703 O
0.674 1.492 4.451 O
3.712 -1.066 3.779 O
```

Peak list (8 most intense, 2θ = 10–90°, sorted by position)
16.73°, 5.298 Å, I = 13
33.84°, 2.649 Å, I = 100
37.98°, 2.369 Å, I = 10
45.28°, 2.003 Å, I = 10
48.61°, 1.873 Å, I = 27
60.54°, 1.529 Å, I = 48
71.19°, 1.324 Å, I = 13
81.20°, 1.185 Å, I = 16

# 5
CrFe2O5: calculated powder X-ray diffraction pattern (Cu Kα X-rays), based on a crystal structure in the Materials Project, relaxed with PBE+U.

Crystal structure
```
CrFe2O5
1.0
5.077 -2.560 0.000
5.077 2.560 0.000
-2.616 0.000 6.564
Cr Fe O
2 4 10
Cartesian
0.000 0.000 0.000 Cr
-1.308 0.000 3.282 Cr
1.713 0.028 5.090 Fe
3.021 -0.028 1.808 Fe
4.517 0.028 4.757 Fe
5.825 -0.028 1.474 Fe
1.457 0.750 0.963 O
4.423 1.608 1.641 O
2.805 0.843 3.612 O
0.149 -0.750 4.245 O
3.425 0.843 6.234 O
4.113 -0.843 0.330 O
7.389 0.750 2.319 O
4.733 -0.843 2.952 O
3.115 -1.608 4.923 O
6.081 -0.750 5.601 O
```

Peak list (8 most intense, 2θ = 10–90°, sorted by position)
18.81°, 4.716 Å, I = 41
26.74°, 3.334 Å, I = 64
30.75°, 2.907 Å, I = 77
33.45°, 2.679 Å, I = 100
35.06°, 2.560 Å, I = 45
36.63°, 2.453 Å, I = 56
52.54°, 1.742 Å, I = 50
55.69°, 1.650 Å, I = 50

# 6
CoSeO5: calculated powder X-ray diffraction pattern (Cu Kα X-rays), based on a crystal structure in the Materials Project, relaxed with PBE+U.

Crystal structure
```
CoSeO5
1.0
6.778 0.000 0.000
0.000 8.477 0.000
-5.821 0.000 6.941
Co Se O
4 4 20
Cartesian
1.088 1.298 0.189 Co
-1.823 2.941 3.659 Co
2.780 5.537 3.281 Co
-0.131 7.180 6.752 Co
-0.328 5.328 2.210 Se
-3.238 7.388 5.681 Se
4.195 1.089 1.260 Se
1.285 3.150 4.730 Se
-3.799 5.816 5.152 O
-0.889 6.900 1.681 O
-1.688 4.871 3.253 O
-4.598 7.845 6.723 O
-2.239 1.377 4.066 O
0.671 2.861 0.596 O
1.128 0.817 1.821 O
-1.783 3.422 5.292 O
3.113 1.551 0.009 O
0.203 2.688 3.479 O
0.754 5.790 3.462 O
-2.156 6.926 6.932 O
2.740 5.056 1.649 O
-0.171 7.661 5.120 O
0.286 5.616 6.345 O
3.196 7.100 2.875 O
5.555 0.633 0.218 O
2.644 3.606 3.688 O
1.846 1.577 5.259 O
4.756 2.662 1.789 O
```

Peak list (8 most intense, 2θ = 10–90°, sorted by position)
16.51°, 5.370 Å, I = 100
22.26°, 3.993 Å, I = 40
24.61°, 3.617 Å, I = 47
27.78°, 3.212 Å, I = 29
28.60°, 3.121 Å, I = 75
34.26°, 2.617 Å, I = 21
40.89°, 2.207 Å, I = 21
42.67°, 2.119 Å, I = 23

# 7
Li3Fe8O3F13: calculated powder X-ray diffraction pattern (Cu Kα X-rays), based on a crystal structure in the Materials Project, relaxed with PBE+U.

Crystal structure
```
Li3Fe8O3F13
1.0
5.483 -3.126 0.000
5.483 3.126 0.000
-3.713 0.000 9.769
Li Fe O F
3 8 3 13
Cartesian
0.000 0.000 0.000 Li
3.621 0.000 8.383 Li
7.391 0.000 4.304 Li
0.878 1.601 6.615 Fe
2.796 1.498 1.761 Fe
-1.734 0.000 6.802 Fe
4.667 1.509 4.283 Fe
2.796 -1.498 1.761 Fe
5.513 0.000 1.606 Fe
0.878 -1.601 6.615 Fe
4.667 -1.509 4.283 Fe
-0.132 0.000 5.365 O
3.881 0.000 2.994 O
5.736 0.000 5.397 O
2.792 1.777 5.465 F
4.529 1.566 0.635 F
1.864 0.000 0.653 F
1.820 0.000 7.612 F
4.581 1.518 7.811 F
6.551 1.361 2.886 F
4.529 -1.566 0.635 F
7.397 0.000 0.608 F
2.792 -1.777 5.465 F
6.551 -1.361 2.886 F
4.581 -1.518 7.811 F
9.064 0.000 3.013 F
7.329 0.000 7.844 F
```

Peak list (8 most intense, 2θ = 10–90°, sorted by position)
17.40°, 5.098 Å, I = 33
18.16°, 4.885 Å, I = 49
20.17°, 4.402 Å, I = 31
29.39°, 3.039 Å, I = 23
41.00°, 2.201 Å, I = 53
41.45°, 2.178 Å, I = 100
58.50°, 1.578 Å, I = 32
60.95°, 1.520 Å, I = 40

# 8
Li4V3O8: calculated powder X-ray diffraction pattern (Cu Kα X-rays), based on a crystal structure in the Materials Project, relaxed with PBE+U.

Crystal structure
```
Li4V3O8
1.0
5.853 0.000 0.000
-0.008 6.151 0.000
-0.014 -0.589 8.476
Li V O
8 6 16
Cartesian
0.000 0.000 0.000 Li
-0.005 1.549 3.037 Li
-0.001 3.063 6.054 Li
0.004 1.235 7.263 Li
2.982 4.599 3.029 Li
3.002 0.285 1.819 Li
2.999 2.770 4.245 Li
2.995 4.340 7.272 Li
0.000 4.609 3.037 V
1.479 3.243 0.870 V
1.525 -0.134 5.111 V
2.990 1.251 7.285 V
4.409 3.206 0.960 V
4.451 -0.174 5.187 V
0.012 4.577 1.034 O
0.069 4.639 5.033 O
1.410 3.278 2.825 O
1.500 -0.121 3.249 O
1.492 2.664 7.486 O
1.579 -0.087 7.065 O
2.929 1.865 0.801 O
2.990 1.196 5.284 O
3.028 4.524 0.956 O
3.042 4.697 5.090 O
4.277 2.590 7.363 O
4.353 -0.150 7.139 O
4.489 3.201 2.914 O
4.572 -0.201 3.119 O
5.805 1.924 0.854 O
5.826 1.149 5.190 O
```

Peak list (8 most intense, 2θ = 10–90°, sorted by position)
17.24°, 5.142 Å, I = 100
18.42°, 4.816 Å, I = 21
20.97°, 4.236 Å, I = 11
35.91°, 2.501 Å, I = 29
42.69°, 2.118 Å, I = 58
55.23°, 1.663 Å, I = 18
60.29°, 1.535 Å, I = 11
63.62°, 1.463 Å, I = 11